1.
Computed powder diffractogram
Compound: Pr3SbSe
Radiation: Cu Kα
Structure: DFT lattice parameters and positions (GGA-PBE)
Kinematic intensities with the Lorentz-polarization factor, no thermal factor.

Top 6 peaks for 10° ≤ 2θ ≤ 90°, most intense first:
2θ (°)	I (rel.)	index
31.00	100	2 1 2
29.42	57	1 0 5
41.80	27	0 2 0
28.32	26	1 1 3
34.61	24	0 1 5
25.45	22	1 1 2

Structure:
```
data_Pr3SbSe
_space_group_name_H-M_alt 'P n m a'
_space_group_IT_number 62
_cell_length_a 8.8143
_cell_length_b 4.3220
_cell_length_c 16.1951
_cell_angle_alpha 90.00
_cell_angle_beta 90.00
_cell_angle_gamma 90.00
loop_
_space_group_symop_operation_xyz
'x,y,z'
'-x,-y,-z'
'-x+1/2,-y,z+1/2'
'x+1/2,y,-z+1/2'
'x+1/2,-y+1/2,-z+1/2'
'-x+1/2,y+1/2,z+1/2'
'-x,y+1/2,-z'
'x,-y+1/2,z'
loop_
_atom_site_label
_atom_site_fract_x
_atom_site_fract_y
_atom_site_fract_z
Pr1 0.0131 0.2500 0.1089
Pr2 0.1539 0.2500 0.5460
Pr3 0.1620 0.7500 0.2872
Sb1 0.1218 0.7500 0.6976
Se1 0.1944 0.2500 0.9512
```

---

2.
Computed powder diffractogram
Compound: Pr5Sb4Se
Radiation: Cu Kα
Structure: DFT lattice parameters and positions (GGA-PBE)
Kinematic intensities with the Lorentz-polarization factor, no thermal factor.

Top 6 peaks for 10° ≤ 2θ ≤ 90°, most intense first:
2θ (°)	I (rel.)	index
27.99	100	1 1 0
40.00	76	2 0 0
49.53	27	2 0 10
72.65	26	3 1 10
65.44	23	3 1 0
65.54	11	1 1 20

Structure:
```
data_Pr5Sb4Se
_space_group_name_H-M_alt 'I 4/m m m'
_space_group_IT_number 139
_space_group_name_Hall '-I 4 2'
_cell_length_a 4.5108
_cell_length_b 4.5108
_cell_length_c 31.8381
_cell_angle_alpha 90.00
_cell_angle_beta 90.00
_cell_angle_gamma 90.00
loop_
_atom_site_label
_atom_site_fract_x
_atom_site_fract_y
_atom_site_fract_z
Pr1 0.0000 0.0000 0.0000
Pr2 0.0000 0.0000 0.2003
Pr3 0.0000 0.0000 0.4022
Sb1 0.0000 0.0000 0.0987
Sb2 0.0000 0.0000 0.3014
Se1 0.0000 0.0000 0.5000
```